Starting from a DFT-relaxed cell (PBE+U, Alexandria), the powder diffraction line list of AlV2O4 was computed for Cu Kα, 1.54184 Å.
Lines closer than 0.1° are merged.

Largest 10 diffraction maxima, by angle, 2θ = 10–90°:
| d [Å] | I/Imax | index |
| --- | --- | --- |
| 4.860 | 55 | 0 0 2 |
| 2.548 | 100 | 3 1 1 |
| 2.520 | 37 | 4 0 -2 |
| 2.515 | 13 | 2 0 -4 |
| 2.116 | 54 | 2 2 2 |
| 2.083 | 26 | 4 0 -4 |
| 1.628 | 23 | 2 2 4 |
| 1.496 | 29 | 4 0 4 |
| 1.486 | 28 | 6 2 -2 |
| 1.482 | 28 | 2 2 -6 |

Structural model:
Cell: 10.2762 5.9816 10.2406 Å, 90.00 108.59 90.00°
Space group Cc (No. 9)
Unique sites:
Al  0.0000  0.2418  0.0000 [4 per cell]
Al  0.1237  0.2538  0.3741 [4 per cell]
V  0.0693  0.2503  0.6896 [4 per cell]
V  0.3089  0.4891  0.6898 [4 per cell]
V  0.3145  0.0109  0.1842 [4 per cell]
V  0.3147  0.2367  0.9445 [4 per cell]
O  0.1855  0.2533  0.0654 [4 per cell]
O  0.1888  0.2420  0.5604 [4 per cell]
O  0.1886  0.4914  0.8205 [4 per cell]
O  0.1896  0.0092  0.3123 [4 per cell]
O  0.4375  0.2375  0.8137 [4 per cell]
O  0.4396  0.2618  0.3129 [4 per cell]
O  0.4397  0.4952  0.0665 [4 per cell]
O  0.4444  0.0059  0.5647 [4 per cell]